1.
This entry pairs a crystal structure of Ba2Y2FeCo2CuO10 with its simulated XRD peak list. Radiation: λ = 1.5418 Å (Cu Kα). Structure: a cell relaxed with PBE+U.
Peak positions follow from Bragg's law for the DFT cell and can differ from measured ones.

Top 6 peaks for 2θ from 10° to 90°, sorted by position:
2θ = 32.4°, I = 42
2θ = 32.6°, I = 100
2θ = 40.1°, I = 13
2θ = 46.4°, I = 30
2θ = 57.9°, I = 37
2θ = 58.4°, I = 21

Structural model:
Lattice parameters (Å, degrees): 8.6368 8.6368 8.6368 142.65 142.65 53.85
Sites, in units of the cell vectors:
1 Ba 0.0000 0.5000 0.5000
2 Ba 0.5000 0.0000 0.5000
3 Y 0.2474 0.7474 0.5000
4 Y 0.7474 0.2474 0.5000
5 Fe 0.3703 0.3703 0.0000
6 Co 0.1295 0.1295 0.0000
7 Co 0.6326 0.6326 0.0000
8 Cu 0.8614 0.8614 0.0000
9 O 0.0916 0.0916 0.5067
10 O 0.0916 0.5850 0.0000
11 O 0.4044 0.4044 0.5022
12 O 0.4044 0.9022 0.0000
13 O 0.4933 0.4933 0.0000
14 O 0.5850 0.0916 0.0000
15 O 0.5850 0.5850 0.4933
16 O 0.9022 0.4044 0.0000
17 O 0.9022 0.9022 0.4978
18 O 0.9976 0.9976 0.0000


2.
This entry pairs a crystal structure of V2GaO5 with its simulated XRD peak list. Radiation: λ = 1.5418 Å (Cu Kα). Structure: a cell relaxed with PBE+U.
Peak positions follow from Bragg's law for the DFT cell and can differ from measured ones.

Top 6 peaks for 2θ from 10° to 90°, sorted by position:
2θ = 28.6°, I = 67
2θ = 28.8°, I = 48
2θ = 30.1°, I = 100
2θ = 34.9°, I = 60
2θ = 37.0°, I = 58
2θ = 56.3°, I = 46

Structural model:
Lattice parameters (Å, degrees): 6.1284 9.1451 9.9570 95.14 107.88 99.55
Sites, in units of the cell vectors:
1 V 0.0000 0.0000 0.0000
2 V 0.0691 0.9688 0.6532
3 V 0.1365 0.6453 0.9486
4 V 0.2936 0.3807 0.3865
5 V 0.3654 0.3547 0.0517
6 V 0.4302 0.0257 0.3469
7 V 0.5000 0.0000 0.0000
8 V 0.5698 0.9743 0.6531
9 V 0.6346 0.6453 0.9483
10 V 0.7064 0.6193 0.6135
11 V 0.8635 0.3547 0.0514
12 V 0.9309 0.0312 0.3468
13 Ga 0.0600 0.6880 0.2779
14 Ga 0.2117 0.6222 0.6124
15 Ga 0.4375 0.3115 0.7217
16 Ga 0.5625 0.6885 0.2783
17 Ga 0.7883 0.3778 0.3876
18 Ga 0.9400 0.3120 0.7221
19 O 0.0001 0.2371 0.3886
20 O 0.9999 0.7629 0.6114
21 O 0.0597 0.4012 0.9181
22 O 0.0804 0.5413 0.3988
23 O 0.1060 0.0220 0.2132
24 O 0.1481 0.2003 0.6961
25 O 0.1823 0.3764 0.1790
26 O 0.2065 0.8450 0.9905
27 O 0.2390 0.0003 0.4995
28 O 0.2940 0.1552 0.0104
29 O 0.3156 0.6257 0.8200
30 O 0.3509 0.7972 0.3036
31 O 0.3821 0.9774 0.7868
32 O 0.4107 0.4578 0.6020
33 O 0.4412 0.5990 0.0820
34 O 0.4906 0.7534 0.6084
35 O 0.5094 0.2466 0.3916
36 O 0.5588 0.4010 0.9180
37 O 0.5893 0.5422 0.3980
38 O 0.6179 0.0226 0.2132
39 O 0.6491 0.2028 0.6964
40 O 0.6844 0.3743 0.1800
41 O 0.7060 0.8448 0.9896
42 O 0.7610 0.9997 0.5005
43 O 0.7935 0.1550 0.0095
44 O 0.8177 0.6236 0.8210
45 O 0.8519 0.7997 0.3039
46 O 0.8940 0.9780 0.7868
47 O 0.9196 0.4587 0.6012
48 O 0.9403 0.5988 0.0819


3.
This entry pairs a crystal structure of LiMnO2 with its simulated XRD peak list. Radiation: λ = 1.5418 Å (Cu Kα). Structure: a cell relaxed with PBE+U.
Peak positions follow from Bragg's law for the DFT cell and can differ from measured ones.

Top 6 peaks for 2θ from 10° to 90°, sorted by position:
2θ = 18.2°, I = 100
2θ = 21.2°, I = 54
2θ = 29.8°, I = 45
2θ = 42.2°, I = 53
2θ = 43.1°, I = 49
2θ = 43.2°, I = 49

Structural model:
Lattice parameters (Å, degrees): 5.9447 5.9935 14.6072 88.88 89.91 60.44
Sites, in units of the cell vectors:
1 Li 0.0000 0.0000 0.0000
2 Li 0.0013 0.0060 0.5021
3 Li 0.0031 0.5138 0.5029
4 Li 0.1439 0.1666 0.1616
5 Li 0.3267 0.3421 0.3355
6 Li 0.3421 0.3284 0.8330
7 Li 0.3589 0.8177 0.8249
8 Li 0.5064 0.5149 0.5091
9 Li 0.6354 0.1852 0.1749
10 Li 0.6583 0.6737 0.1676
11 Li 0.6740 0.6663 0.6674
12 Li 0.8574 0.8184 0.8329
13 Mn 0.0001 0.5010 0.0010
14 Mn 0.1585 0.6729 0.1673
15 Mn 0.1711 0.1667 0.6672
16 Mn 0.1712 0.6662 0.6673
17 Mn 0.3294 0.8402 0.3340
18 Mn 0.4977 0.0116 0.5020
19 Mn 0.5004 0.5018 0.0011
20 Mn 0.5008 0.0018 0.0004
21 Mn 0.6720 0.1659 0.6682
22 Mn 0.8285 0.8412 0.3341
23 Mn 0.8302 0.3403 0.3351
24 Mn 0.8438 0.3242 0.8334
25 O 0.0133 0.4765 0.7482
26 O 0.0227 0.9711 0.7548
27 O 0.1472 0.1988 0.9234
28 O 0.1472 0.6988 0.4044
29 O 0.1790 0.6423 0.9304
30 O 0.1880 0.1434 0.4139
31 O 0.3047 0.3301 0.0832
32 O 0.3244 0.3616 0.5800
33 O 0.3325 0.8534 0.5856
34 O 0.3360 0.8121 0.0813
35 O 0.4715 0.5332 0.2529
36 O 0.4922 0.0210 0.7397
37 O 0.5091 0.9843 0.2618
38 O 0.5276 0.4744 0.7502
39 O 0.6616 0.1948 0.9224
40 O 0.6751 0.1447 0.4115
41 O 0.6938 0.6699 0.4150
42 O 0.6962 0.6711 0.9204
43 O 0.8151 0.8620 0.5859
44 O 0.8218 0.3589 0.0738
45 O 0.8481 0.3122 0.5953
46 O 0.8522 0.8039 0.0791
47 O 0.9621 0.0138 0.2520
48 O 0.9815 0.5373 0.2564


4.
This entry pairs a crystal structure of Li8Mn5Fe3B8O24 with its simulated XRD peak list. Radiation: λ = 1.5418 Å (Cu Kα). Structure: a cell relaxed with PBE+U.
Peak positions follow from Bragg's law for the DFT cell and can differ from measured ones.

Top 6 peaks for 2θ from 10° to 90°, sorted by position:
2θ = 20.4°, I = 79
2θ = 22.0°, I = 34
2θ = 22.6°, I = 61
2θ = 33.4°, I = 100
2θ = 34.0°, I = 32
2θ = 40.9°, I = 34

Structural model:
Lattice parameters (Å, degrees): 6.0308 9.7382 9.8477 64.43 79.23 78.49
Sites, in units of the cell vectors:
1 Li 0.0000 0.0000 0.0000
2 Li 0.0002 0.4994 0.4981
3 Li 0.4081 0.5661 0.3674
4 Li 0.4095 0.0674 0.8686
5 Li 0.5004 0.0007 0.4994
6 Li 0.5018 0.5007 0.0016
7 Li 0.9098 0.5671 0.8705
8 Li 0.9111 0.0683 0.3698
9 Mn 0.1412 0.7392 0.5578
10 Mn 0.1423 0.2406 0.0605
11 Mn 0.2700 0.8272 0.8119
12 Mn 0.7685 0.8269 0.3093
13 Mn 0.7698 0.3271 0.8098
14 Fe 0.2750 0.3239 0.3144
15 Fe 0.6381 0.2361 0.5591
16 Fe 0.6388 0.7426 0.0567
17 B 0.1189 0.1672 0.6464
18 B 0.1223 0.6641 0.1478
19 B 0.2890 0.4015 0.7191
20 B 0.2896 0.9010 0.2192
21 B 0.6220 0.1670 0.1501
22 B 0.6228 0.6661 0.6482
23 B 0.7882 0.9018 0.7236
24 B 0.7904 0.4015 0.2241
25 O 0.1184 0.3986 0.8368
26 O 0.1183 0.8992 0.3359
27 O 0.1311 0.0502 0.7897
28 O 0.1319 0.5463 0.2901
29 O 0.2800 0.0192 0.0761
30 O 0.2795 0.5185 0.5761
31 O 0.2916 0.1694 0.5296
32 O 0.2974 0.6683 0.0320
33 O 0.4418 0.2883 0.1241
34 O 0.4422 0.7874 0.6201
35 O 0.4700 0.2808 0.7454
36 O 0.4703 0.7791 0.2458
37 O 0.6155 0.3967 0.3406
38 O 0.6182 0.8955 0.8425
39 O 0.6308 0.5493 0.7923
40 O 0.6319 0.0488 0.2926
41 O 0.7745 0.0223 0.5817
42 O 0.7815 0.5189 0.0806
43 O 0.7925 0.1693 0.0326
44 O 0.7958 0.6683 0.5326
45 O 0.9385 0.2871 0.6188
46 O 0.9411 0.7852 0.1197
47 O 0.9681 0.7823 0.7478
48 O 0.9727 0.2813 0.2504


5.
This entry pairs a crystal structure of MgMnCo3O8 with its simulated XRD peak list. Radiation: λ = 1.5418 Å (Cu Kα). Structure: a cell relaxed with PBE+U.
Peak positions follow from Bragg's law for the DFT cell and can differ from measured ones.

Top 6 peaks for 2θ from 10° to 90°, sorted by position:
2θ = 18.7°, I = 100
2θ = 18.8°, I = 20
2θ = 36.5°, I = 19
2θ = 43.4°, I = 28
2θ = 44.3°, I = 26
2θ = 44.5°, I = 26

Structural model:
Lattice parameters (Å, degrees): 5.7536 5.7772 5.8178 60.29 60.54 89.76
Sites, in units of the cell vectors:
1 Mg 0.0000 0.0000 0.0000
2 Mn 0.0000 0.5000 0.5000
3 Co 0.0000 0.0000 0.5000
4 Co 0.0000 0.5000 0.0000
5 Co 0.5000 0.5000 0.0000
6 O 0.1989 0.7352 0.5378
7 O 0.2151 0.2438 0.0445
8 O 0.2192 0.2465 0.5007
9 O 0.2259 0.7085 0.0367
10 O 0.7741 0.2915 0.9633
11 O 0.7808 0.7535 0.4993
12 O 0.7849 0.7562 0.9555
13 O 0.8011 0.2648 0.4622